1.
LaLuH6: simulated powder X-ray diffraction pattern (λ = 1.5418 Å (Cu Kα)), based on the PBE geometry in OQMD.

Structural model:
```
LaLuH6
1.0
3.6214 0.0000 0.0000
0.0000 3.6214 0.0000
0.0000 0.0000 5.4432
La Lu H
1 1 6
direct
0.0000 0.0000 0.0000
0.5000 0.5000 0.5000
0.0000 0.0000 0.5000
0.0000 0.5000 0.2761
0.0000 0.5000 0.7239
0.5000 0.0000 0.2761
0.5000 0.0000 0.7239
0.5000 0.5000 0.0000
```

The 8 most intense peaks (15° ≤ 2θ ≤ 90°), by intensity:
| 2theta | I/Imax | (hkl) |
| --- | --- | --- |
| 29.63 | 100 | 1 0 1 |
| 35.04 | 32 | 1 1 0 |
| 59.55 | 28 | 2 1 1 |
| 48.83 | 27 | 1 1 2 |
| 32.91 | 19 | 0 0 2 |
| 56.75 | 16 | 1 0 3 |
| 61.51 | 13 | 2 0 2 |
| 79.29 | 12 | 2 1 3 |

---

2.
LaMg2H7Pd: simulated powder X-ray diffraction pattern (λ = 1.5418 Å (Cu Kα)), based on the PBE geometry in OQMD.

Structural model:
```
LaMg2H7Pd
1.0
4.6706 0.0000 0.0000
0.0000 8.0145 0.0000
0.0000 0.0000 11.6232
La Mg H Pd
4 8 28 4
direct
0.0020 0.0461 0.2841
0.4980 0.9539 0.7841
0.5020 0.4539 0.7159
0.9980 0.5461 0.2159
0.0025 0.2822 0.9005
0.0099 0.6655 0.8913
0.4901 0.3345 0.3913
0.4975 0.7178 0.4005
0.5025 0.2178 0.0995
0.5099 0.8345 0.1087
0.9901 0.1655 0.6087
0.9975 0.7822 0.5995
0.0173 0.4705 0.7946
0.0253 0.4101 0.6313
0.0357 0.3284 0.3876
0.0730 0.6687 0.4366
0.0974 0.9901 0.4878
0.2330 0.2846 0.2187
0.2479 0.2126 0.7636
0.2521 0.7874 0.2636
0.2670 0.7154 0.7187
0.4026 0.0099 0.9878
0.4270 0.3313 0.9366
0.4643 0.6716 0.8876
0.4747 0.5899 0.1313
0.4827 0.5295 0.2946
0.5173 0.0295 0.2054
0.5253 0.0899 0.3687
0.5357 0.1716 0.6124
0.5730 0.8313 0.5634
0.5974 0.5099 0.5122
0.7330 0.2154 0.7813
0.7479 0.2874 0.2364
0.7521 0.7126 0.7364
0.7670 0.7846 0.2813
0.9026 0.4901 0.0122
0.9270 0.1687 0.0634
0.9643 0.8284 0.1124
0.9747 0.9101 0.8687
0.9827 0.9705 0.7054
0.0306 0.9792 0.0074
0.4694 0.0208 0.5074
0.5306 0.5208 0.9926
0.9694 0.4792 0.4926
```

The 8 most intense peaks (15° ≤ 2θ ≤ 90°), by intensity:
| 2theta | I/Imax | (hkl) |
| --- | --- | --- |
| 32.02 | 100 | 1 1 3 |
| 30.38 | 59 | 1 2 1 |
| 22.18 | 58 | 0 2 0 |
| 20.49 | 47 | 1 0 1 |
| 38.26 | 39 | 0 2 4 |
| 38.55 | 35 | 2 0 0 |
| 29.97 | 32 | 1 0 3 |
| 23.33 | 26 | 1 1 1 |

---

3.
La2NbHO6: simulated powder X-ray diffraction pattern (λ = 1.5418 Å (Cu Kα)), based on the PBE geometry in OQMD.

Structural model:
```
La2NbHO6
1.0
7.0652 0.0000 0.0000
0.0000 6.7835 0.0000
-6.3045 0.0000 10.1918
La Nb H O
8 4 4 24
direct
0.0379 0.2357 0.4193
0.0379 0.2643 0.9193
0.4187 0.0819 0.2885
0.4187 0.4181 0.7885
0.5813 0.5819 0.2115
0.5813 0.9181 0.7115
0.9621 0.7357 0.0807
0.9621 0.7643 0.5807
0.2912 0.6561 0.4263
0.2912 0.8439 0.9263
0.7088 0.1561 0.0737
0.7088 0.3439 0.5737
0.1420 0.1139 0.6972
0.1420 0.3861 0.1972
0.8580 0.6139 0.8028
0.8580 0.8861 0.3028
0.0079 0.0767 0.2138
0.0079 0.4233 0.7138
0.2115 0.1128 0.6448
0.2115 0.3872 0.1448
0.2246 0.5469 0.5602
0.2246 0.9531 0.0602
0.2736 0.5798 0.9715
0.2736 0.9202 0.4715
0.3540 0.7357 0.2887
0.3540 0.7643 0.7887
0.3754 0.1540 0.9243
0.3754 0.3460 0.4243
0.6246 0.6540 0.5757
0.6246 0.8460 0.0757
0.6460 0.2357 0.2113
0.6460 0.2643 0.7113
0.7264 0.0798 0.5285
0.7264 0.4202 0.0285
0.7754 0.0469 0.9398
0.7754 0.4531 0.4398
0.7885 0.6128 0.8552
0.7885 0.8872 0.3552
0.9921 0.5767 0.2862
0.9921 0.9233 0.7862
```

The 8 most intense peaks (15° ≤ 2θ ≤ 90°), by intensity:
| 2theta | I/Imax | (hkl) |
| --- | --- | --- |
| 28.55 | 100 | 2 1 -2 |
| 28.30 | 53 | 1 0 2 |
| 25.90 | 44 | 1 1 -3 |
| 43.14 | 41 | 1 3 -2 |
| 27.72 | 36 | 0 2 1 |
| 29.35 | 35 | 2 1 -1 |
| 32.88 | 31 | 1 1 -4 |
| 30.26 | 30 | 1 2 0 |

---

4.
LaNpH2Se2: simulated powder X-ray diffraction pattern (λ = 1.5418 Å (Cu Kα)), based on the PBE geometry in OQMD.

Structural model:
```
LaNpH2Se2
1.0
3.9862 0.0000 0.0000
-1.9931 3.4521 0.0000
0.0000 0.0000 7.9209
La Np H Se
1 1 2 2
direct
0.0000 0.0000 0.0000
0.3333 0.6667 0.5000
0.0000 0.0000 0.5000
0.3333 0.6667 0.0000
0.6667 0.3333 0.2594
0.6667 0.3333 0.7406
```

The 8 most intense peaks (15° ≤ 2θ ≤ 90°), by intensity:
| 2theta | I/Imax | (hkl) |
| --- | --- | --- |
| 28.20 | 100 | 1 0 1 |
| 34.46 | 74 | 1 0 2 |
| 45.51 | 38 | 1 1 0 |
| 43.13 | 34 | 1 0 3 |
| 66.57 | 24 | 1 1 4 |
| 54.40 | 17 | 2 0 1 |
| 58.31 | 17 | 2 0 2 |
| 76.93 | 16 | 2 1 2 |